Entry 1:
Starting from the PBE geometry in Alexandria, the powder X-ray diffraction pattern of BeCrTc was calculated for Cu Kα X-rays.
Neutral-atom scattering factors, no anomalous dispersion.

a = 3.9921 Å, b = 6.1022 Å, c = 6.1022 Å
α = 27.99°, β = 90.00°, γ = 90.00°
Positions (direct):
Be: 0.0000 0.0000 0.0000
Be: 0.5000 0.1989 0.1989
Cr: 0.0000 0.3292 0.3292
Cr: 0.0000 0.6706 0.6706
Tc: 0.5000 0.5397 0.5397
Tc: 0.5000 0.8571 0.8571

Main lines, by angle (5° ≤ 2θ ≤ 70°):
2theta	Rel. int.
26.94	33
30.19	16
31.24	23
44.55	100
45.44	26
45.98	17

---

Entry 2:
Starting from the PBE geometry in Alexandria, the powder X-ray diffraction pattern of Cs2AlRuCl6 was calculated for Cu Kα X-rays.
Neutral-atom scattering factors, no anomalous dispersion.

a = 7.0835 Å, b = 7.0835 Å, c = 7.0835 Å
α = 60.00°, β = 60.00°, γ = 60.00°
Positions (direct):
Cs: 0.2500 0.2500 0.2500
Cs: 0.7500 0.7500 0.7500
Al: 0.0000 0.0000 0.0000
Ru: 0.5000 0.5000 0.5000
Cl: 0.2463 0.2463 0.7537
Cl: 0.2463 0.7537 0.2463
Cl: 0.2463 0.7537 0.7537
Cl: 0.7537 0.2463 0.2463
Cl: 0.7537 0.2463 0.7537
Cl: 0.7537 0.7537 0.2463

Main lines, by angle (5° ≤ 2θ ≤ 70°):
2theta	Rel. int.
25.14	100
30.92	47
35.86	71
44.30	44
51.61	47
58.25	20

---

Entry 3:
Starting from the PBE geometry in Alexandria, the powder X-ray diffraction pattern of AgRuF6 was calculated for Cu Kα X-rays.
Neutral-atom scattering factors, no anomalous dispersion.

a = 5.3676 Å, b = 5.3712 Å, c = 5.9217 Å
α = 63.09°, β = 63.11°, γ = 60.06°
Positions (direct):
Ag: 0.0000 0.0000 0.0000
Ru: 0.5000 0.5000 0.5000
F: 0.1343 0.7125 0.7199
F: 0.2871 0.5668 0.2799
F: 0.4331 0.1343 0.7197
F: 0.5669 0.8657 0.2803
F: 0.7129 0.4332 0.7201
F: 0.8657 0.2875 0.2801

Main lines, by angle (5° ≤ 2θ ≤ 70°):
2theta	Rel. int.
22.43	100
30.44	40
33.36	18
40.58	17
49.56	31
53.51	15

---

Entry 4:
Starting from the PBE geometry in Alexandria, the powder X-ray diffraction pattern of PmRe2SiC was calculated for Cu Kα X-rays.
Neutral-atom scattering factors, no anomalous dispersion.

a = 5.8220 Å, b = 5.8220 Å, c = 7.3668 Å
α = 90.00°, β = 90.00°, γ = 139.74°
Positions (direct):
Pm: 0.0429 0.9571 0.7500
Pm: 0.9571 0.0429 0.2500
Re: 0.3252 0.6748 0.5608
Re: 0.3252 0.6748 0.9392
Re: 0.6748 0.3252 0.0608
Re: 0.6748 0.3252 0.4392
Si: 0.2345 0.7655 0.2500
Si: 0.7655 0.2345 0.7500
C: 0.5000 0.5000 0.0000
C: 0.5000 0.5000 0.5000

Main lines, by angle (5° ≤ 2θ ≤ 70°):
2theta	Rel. int.
29.24	41
33.23	100
34.06	72
40.26	35
44.03	38
45.26	33

---

Entry 5:
Starting from the PBE geometry in Alexandria, the powder X-ray diffraction pattern of Er6Ru2Pt was calculated for Cu Kα X-rays.
Neutral-atom scattering factors, no anomalous dispersion.

a = 6.5496 Å, b = 7.3457 Å, c = 11.2903 Å
α = 90.00°, β = 123.49°, γ = 90.00°
Positions (direct):
Er: 0.0738 0.0535 0.2382
Er: 0.0738 0.4465 0.7382
Er: 0.2233 0.6753 0.0744
Er: 0.2233 0.8247 0.5744
Er: 0.3941 0.1668 0.0683
Er: 0.3941 0.3332 0.5683
Er: 0.6059 0.6668 0.4317
Er: 0.6059 0.8332 0.9317
Er: 0.7767 0.1753 0.4256
Er: 0.7767 0.3247 0.9256
Er: 0.9262 0.5535 0.2618
Er: 0.9262 0.9465 0.7618
Ru: 0.3012 0.1181 0.7655
Ru: 0.3012 0.3819 0.2655
Ru: 0.6988 0.6181 0.7345
Ru: 0.6988 0.8819 0.2345
Pt: 0.5000 0.0000 0.5000
Pt: 0.5000 0.5000 0.0000

Main lines, by angle (5° ≤ 2θ ≤ 70°):
2theta	Rel. int.
29.61	72
29.89	66
31.17	100
31.68	91
33.56	87
39.29	59

---

Entry 6:
Starting from the PBE geometry in Alexandria, the powder X-ray diffraction pattern of BaAl2Te4 was calculated for Cu Kα X-rays.
Neutral-atom scattering factors, no anomalous dispersion.

a = 8.6988 Å, b = 8.6988 Å, c = 6.7541 Å
α = 90.00°, β = 90.00°, γ = 90.00°
Positions (direct):
Ba: 0.2500 0.2500 0.0000
Ba: 0.7500 0.7500 0.0000
Al: 0.2500 0.7500 0.0000
Al: 0.2500 0.7500 0.5000
Al: 0.7500 0.2500 0.0000
Al: 0.7500 0.2500 0.5000
Te: 0.0832 0.5832 0.2501
Te: 0.0832 0.9168 0.7499
Te: 0.4168 0.5832 0.7499
Te: 0.4168 0.9168 0.2501
Te: 0.5832 0.0832 0.7499
Te: 0.5832 0.4168 0.2501
Te: 0.9168 0.0832 0.2501
Te: 0.9168 0.4168 0.7499

Main lines, by angle (5° ≤ 2θ ≤ 70°):
2theta	Rel. int.
26.44	100
32.55	20
33.60	34
45.02	22
46.63	26
52.19	17

---

What did the second record say?
Starting from the PBE geometry in Alexandria, the powder X-ray diffraction pattern of Cs2AlRuCl6 was calculated for Cu Kα X-rays.
Neutral-atom scattering factors, no anomalous dispersion.

a = 7.0835 Å, b = 7.0835 Å, c = 7.0835 Å
α = 60.00°, β = 60.00°, γ = 60.00°
Positions (direct):
Cs: 0.2500 0.2500 0.2500
Cs: 0.7500 0.7500 0.7500
Al: 0.0000 0.0000 0.0000
Ru: 0.5000 0.5000 0.5000
Cl: 0.2463 0.2463 0.7537
Cl: 0.2463 0.7537 0.2463
Cl: 0.2463 0.7537 0.7537
Cl: 0.7537 0.2463 0.2463
Cl: 0.7537 0.2463 0.7537
Cl: 0.7537 0.7537 0.2463

Main lines, by angle (5° ≤ 2θ ≤ 70°):
2theta	Rel. int.
25.14	100
30.92	47
35.86	71
44.30	44
51.61	47
58.25	20